The following is a calculated X-ray powder pattern of NaCu3F7. It was derived from DFT lattice parameters and positions (GGA-PBE), using copper Kα.
No peak broadening, texture or thermal motion is included.

Peak list (10 most intense, 10 to 90 degrees two-theta, sorted by position)
- 2θ = 14.54°, I 280, (1 1 0)
- 2θ = 29.33°, I 1000, (2 2 0)
- 2θ = 29.56°, I 504, (0 0 2)
- 2θ = 31.82°, I 247, (4 0 -2)
- 2θ = 33.89°, I 204, (4 0 0)
- 2θ = 35.26°, I 253, (2 2 -2)
- 2θ = 48.18°, I 279, (2 2 2)
- 2θ = 51.21°, I 310, (6 2 -2)
- 2θ = 57.86°, I 169, (6 2 0)
- 2θ = 58.20°, I 159, (0 4 2)

Cell lengths 12.2452, 7.4485, 6.9949 Å; angles 90.00, 120.24, 90.00 degrees
Space group C2/c (No. 15)
Unique sites:
Na 0.0000 0.0000 0.0000 x4
Cu 0.0000 0.5000 0.0000 x4
Cu 0.2500 0.2500 0.0000 x4
Cu 0.2500 0.2500 0.5000 x4
F 0.0000 0.3937 0.2500 x4
F 0.0957 0.2976 0.9978 x8
F 0.1538 0.0382 0.3949 x8
F 0.1738 0.2966 0.6846 x8